# Rb3Li2AlMo4O16
Computed powder diffractogram, CuKα. Input: a structure optimized by DFT (PBE+U).

Atomic structure:
```
data_Rb3Li2AlMo4O16
_chemical_formula_sum 'Rb6 Li4 Al2 Mo8 O32'
_cell_length_a 10.6599
_cell_length_b 10.6599
_cell_length_c 10.6599
_cell_angle_alpha 109.15
_cell_angle_beta 109.15
_cell_angle_gamma 110.11
_space_group_name_H-M_alt 'P 1'
_space_group_IT_number 1
_space_group_name_Hall 'P 1'
loop_
_atom_site_label
_atom_site_type_symbol
_atom_site_fract_x
_atom_site_fract_y
_atom_site_fract_z
Rb1 Rb 0.0000 0.0000 0.0000
Rb2 Rb 0.2386 0.1250 0.6136
Rb3 Rb 0.3750 0.7614 0.8864
Rb4 Rb 0.5114 0.6250 0.3864
Rb5 Rb 0.7500 0.2500 0.5000
Rb6 Rb 0.8750 0.4886 0.1136
Li1 Li 0.3750 0.2492 0.3742
Li2 Li 0.7508 0.1250 0.1258
Li3 Li 0.8750 0.0008 0.6258
Li4 Li 0.9992 0.6250 0.8742
Al1 Al 0.2500 0.7500 0.5000
Al2 Al 0.5000 0.5000 0.0000
Mo1 Mo 0.1269 0.3804 0.4469
Mo2 Mo 0.1304 0.3769 0.9469
Mo3 Mo 0.3200 0.8731 0.2534
Mo4 Mo 0.4300 0.1835 0.0531
Mo5 Mo 0.6196 0.0665 0.7466
Mo6 Mo 0.6231 0.5700 0.7534
Mo7 Mo 0.8165 0.8696 0.2466
Mo8 Mo 0.9335 0.6800 0.5531
O1 O 0.0091 0.4471 0.8780
O2 O 0.0562 0.1843 0.8085
O3 O 0.0823 0.7476 0.4958
O4 O 0.1243 0.3758 0.1089
O5 O 0.1258 0.3743 0.6089
O6 O 0.1809 0.8029 0.0620
O7 O 0.1971 0.2591 0.3780
O8 O 0.2518 0.5866 0.5042
O9 O 0.2524 0.7482 0.3348
O10 O 0.2669 0.0154 0.8911
O11 O 0.3366 0.5018 0.0042
O12 O 0.3743 0.0657 0.3719
O13 O 0.3757 0.2477 0.1915
O14 O 0.4134 0.9177 0.6652
O15 O 0.4831 0.8742 0.2485
O16 O 0.4976 0.3323 0.9958
O17 O 0.4982 0.5024 0.8348
O18 O 0.5529 0.4309 0.5620
O19 O 0.5691 0.1312 0.1220
O20 O 0.6242 0.7331 0.7485
O21 O 0.6257 0.2346 0.7515
O22 O 0.6677 0.6634 0.1652
O23 O 0.6938 0.0023 0.6281
O24 O 0.7409 0.1188 0.9380
O25 O 0.7523 0.9438 0.1281
O26 O 0.7654 0.5169 0.3911
O27 O 0.8157 0.6243 0.8719
O28 O 0.8688 0.9909 0.4380
O29 O 0.8812 0.8191 0.6220
O30 O 0.9343 0.3062 0.3085
O31 O 0.9846 0.8757 0.2515
O32 O 0.9977 0.6257 0.6915
```

Largest 8 diffraction maxima, by angle, 10° ≤ 2θ ≤ 80°:
2θ = 17.62°, d 5.035, intensity 18
2θ = 22.77°, d 3.905, intensity 35
2θ = 23.00°, d 3.866, intensity 16
2θ = 27.06°, d 3.295, intensity 100
2θ = 27.21°, d 3.277, intensity 46
2θ = 34.17°, d 2.624, intensity 23
2θ = 40.01°, d 2.254, intensity 10
2θ = 45.26°, d 2.004, intensity 14

---

# LiAlNi3O5
Computed powder diffractogram, CuKα. Input: a structure optimized by DFT (PBE+U).

Atomic structure:
```
data_LiAlNi3O5
_chemical_formula_sum 'Li2 Al2 Ni6 O10'
_cell_length_a 7.7418
_cell_length_b 7.7418
_cell_length_c 5.1549
_cell_angle_alpha 96.54
_cell_angle_beta 96.54
_cell_angle_gamma 141.70
_space_group_name_H-M_alt 'P 1'
_space_group_IT_number 1
_space_group_name_Hall 'P 1'
loop_
_atom_site_label
_atom_site_type_symbol
_atom_site_fract_x
_atom_site_fract_y
_atom_site_fract_z
Li1 Li 0.2003 0.7997 0.0000
Li2 Li 0.7997 0.2003 0.0000
Al1 Al 0.2985 0.7015 0.5000
Al2 Al 0.7015 0.2985 0.5000
Ni1 Ni 0.0000 0.0000 0.0000
Ni2 Ni 0.1018 0.8982 0.5000
Ni3 Ni 0.3945 0.6055 0.0000
Ni4 Ni 0.5000 0.5000 0.5000
Ni5 Ni 0.6055 0.3945 0.0000
Ni6 Ni 0.8982 0.1018 0.5000
O1 O 0.0550 0.4652 0.7174
O2 O 0.1612 0.3722 0.2624
O3 O 0.2467 0.2467 0.7569
O4 O 0.3722 0.1612 0.2624
O5 O 0.4652 0.0550 0.7174
O6 O 0.5348 0.9450 0.2826
O7 O 0.6278 0.8388 0.7376
O8 O 0.7533 0.7533 0.2431
O9 O 0.8388 0.6278 0.7376
O10 O 0.9450 0.5348 0.2826
```

Largest 8 diffraction maxima, by angle, 10° ≤ 2θ ≤ 80°:
2θ = 12.10°, d 7.313, intensity 62
2θ = 28.04°, d 3.182, intensity 25
2θ = 37.47°, d 2.400, intensity 37
2θ = 43.08°, d 2.100, intensity 52
2θ = 43.78°, d 2.068, intensity 100
2θ = 62.71°, d 1.482, intensity 29
2θ = 63.49°, d 1.465, intensity 28
2θ = 63.64°, d 1.462, intensity 28

---

# Li2AlVO4
Computed powder diffractogram, CuKα. Input: a structure optimized by DFT (PBE+U).

Atomic structure:
```
data_Li2AlVO4
_chemical_formula_sum 'Li8 Al4 V4 O16'
_cell_length_a 11.0701
_cell_length_b 5.0877
_cell_length_c 6.4914
_cell_angle_alpha 90.00
_cell_angle_beta 90.00
_cell_angle_gamma 90.00
_space_group_name_H-M_alt 'P 1'
_space_group_IT_number 1
_space_group_name_Hall 'P 1'
loop_
_atom_site_label
_atom_site_type_symbol
_atom_site_fract_x
_atom_site_fract_y
_atom_site_fract_z
Li1 Li 0.0808 0.2444 0.0000
Li2 Li 0.1636 0.6906 0.2483
Li3 Li 0.3364 0.1906 0.7483
Li4 Li 0.4192 0.7444 0.5000
Li5 Li 0.5808 0.2556 0.0000
Li6 Li 0.6636 0.8094 0.2483
Li7 Li 0.8364 0.3094 0.7483
Li8 Li 0.9192 0.7556 0.5000
Al1 Al 0.0853 0.1843 0.4975
Al2 Al 0.4147 0.6843 0.9975
Al3 Al 0.5853 0.3157 0.4975
Al4 Al 0.9147 0.8157 0.9975
V1 V 0.1682 0.6885 0.7506
V2 V 0.3318 0.1885 0.2506
V3 V 0.6682 0.8115 0.7506
V4 V 0.8318 0.3115 0.2506
O1 O 0.0715 0.7469 0.9917
O2 O 0.0947 0.8331 0.5060
O3 O 0.1586 0.3037 0.7236
O4 O 0.1634 0.2937 0.2725
O5 O 0.3366 0.7937 0.7725
O6 O 0.3414 0.8037 0.2236
O7 O 0.4053 0.3331 0.0060
O8 O 0.4285 0.2469 0.4917
O9 O 0.5715 0.7531 0.9917
O10 O 0.5947 0.6669 0.5060
O11 O 0.6586 0.1963 0.7236
O12 O 0.6634 0.2063 0.2725
O13 O 0.8366 0.7063 0.7725
O14 O 0.8414 0.6963 0.2236
O15 O 0.9053 0.1669 0.0060
O16 O 0.9285 0.2531 0.4917
```

Largest 8 diffraction maxima, by angle, 10° ≤ 2θ ≤ 80°:
2θ = 21.09°, d 4.212, intensity 97
2θ = 22.20°, d 4.004, intensity 100
2θ = 27.49°, d 3.245, intensity 32
2θ = 31.97°, d 2.800, intensity 79
2θ = 32.35°, d 2.768, intensity 44
2θ = 35.28°, d 2.544, intensity 87
2θ = 56.72°, d 1.623, intensity 33
2θ = 57.45°, d 1.604, intensity 46

---

# LiAl2V4O8
Computed powder diffractogram, CuKα. Input: a structure optimized by DFT (PBE+U).

Atomic structure:
```
data_LiAl2V4O8
_chemical_formula_sum 'Li1 Al2 V4 O8'
_cell_length_a 6.0583
_cell_length_b 6.0583
_cell_length_c 6.1604
_cell_angle_alpha 120.36
_cell_angle_beta 120.36
_cell_angle_gamma 62.00
_space_group_name_H-M_alt 'P 1'
_space_group_IT_number 1
_space_group_name_Hall 'P 1'
loop_
_atom_site_label
_atom_site_type_symbol
_atom_site_fract_x
_atom_site_fract_y
_atom_site_fract_z
Li1 Li 0.0000 0.0000 0.0000
Al1 Al 0.1292 0.6177 0.3747
Al2 Al 0.6177 0.1292 0.3747
V1 V 0.1320 0.1320 0.4098
V2 V 0.1329 0.1329 0.8571
V3 V 0.1391 0.5968 0.8693
V4 V 0.5968 0.1391 0.8693
O1 O 0.3372 0.8695 0.5999
O2 O 0.3591 0.9344 0.1499
O3 O 0.3765 0.3765 0.6053
O4 O 0.3773 0.3773 0.1517
O5 O 0.8695 0.3372 0.5999
O6 O 0.8825 0.8825 0.6145
O7 O 0.8825 0.8825 0.1515
O8 O 0.9344 0.3591 0.1499
```

Largest 8 diffraction maxima, by angle, 10° ≤ 2θ ≤ 80°:
2θ = 17.71°, d 5.007, intensity 100
2θ = 34.18°, d 2.623, intensity 17
2θ = 35.17°, d 2.551, intensity 14
2θ = 35.87°, d 2.503, intensity 17
2θ = 41.18°, d 2.192, intensity 96
2θ = 43.14°, d 2.097, intensity 42
2θ = 61.06°, d 1.518, intensity 25
2θ = 61.26°, d 1.513, intensity 25

---

# Li2AlVO4
Computed powder diffractogram, CuKα. Input: a structure optimized by DFT (PBE+U).

Atomic structure:
```
data_Li2AlVO4
_chemical_formula_sum 'Li4 Al2 V2 O8'
_cell_length_a 6.3616
_cell_length_b 5.5827
_cell_length_c 4.9814
_cell_angle_alpha 90.00
_cell_angle_beta 90.00
_cell_angle_gamma 90.00
_space_group_name_H-M_alt 'P 1'
_space_group_IT_number 1
_space_group_name_Hall 'P 1'
loop_
_atom_site_label
_atom_site_type_symbol
_atom_site_fract_x
_atom_site_fract_y
_atom_site_fract_z
Li1 Li 0.2495 0.1662 0.0000
Li2 Li 0.2505 0.8338 0.5000
Li3 Li 0.7495 0.8338 0.5000
Li4 Li 0.7505 0.1662 0.0000
Al1 Al 0.0000 0.6712 0.0071
Al2 Al 0.5000 0.3288 0.5071
V1 V 0.0000 0.3334 0.5001
V2 V 0.5000 0.6666 0.0001
O1 O 0.0000 0.3664 0.8927
O2 O 0.0000 0.6583 0.3668
O3 O 0.2348 0.8203 0.9038
O4 O 0.2652 0.1797 0.4038
O5 O 0.5000 0.3417 0.8668
O6 O 0.5000 0.6336 0.3927
O7 O 0.7348 0.1797 0.4038
O8 O 0.7652 0.8203 0.9038
```

Largest 8 diffraction maxima, by angle, 10° ≤ 2θ ≤ 80°:
2θ = 15.87°, d 5.583, intensity 50
2θ = 23.94°, d 3.717, intensity 100
2θ = 28.05°, d 3.181, intensity 36
2θ = 32.07°, d 2.791, intensity 31
2θ = 32.39°, d 2.764, intensity 64
2θ = 36.06°, d 2.491, intensity 55
2θ = 37.21°, d 2.417, intensity 34
2θ = 57.37°, d 1.606, intensity 40

---

# Li2AlVO4
Computed powder diffractogram, CuKα. Input: a structure optimized by DFT (PBE+U).

Atomic structure:
```
data_Li2AlVO4
_chemical_formula_sum 'Li8 Al4 V4 O16'
_cell_length_a 5.1252
_cell_length_b 11.0347
_cell_length_c 8.2319
_cell_angle_alpha 90.00
_cell_angle_beta 128.18
_cell_angle_gamma 90.00
_space_group_name_H-M_alt 'P 1'
_space_group_IT_number 1
_space_group_name_Hall 'P 1'
loop_
_atom_site_label
_atom_site_type_symbol
_atom_site_fract_x
_atom_site_fract_y
_atom_site_fract_z
Li1 Li 0.0345 0.0772 0.2382
Li2 Li 0.0345 0.4228 0.7382
Li3 Li 0.1839 0.1642 0.9941
Li4 Li 0.1839 0.3358 0.4941
Li5 Li 0.8161 0.6642 0.5059
Li6 Li 0.8161 0.8358 0.0059
Li7 Li 0.9655 0.5772 0.2618
Li8 Li 0.9655 0.9228 0.7618
Al1 Al 0.4326 0.0857 0.7461
Al2 Al 0.4326 0.4143 0.2461
Al3 Al 0.5674 0.5857 0.7539
Al4 Al 0.5674 0.9143 0.2539
V1 V 0.3156 0.6663 0.0037
V2 V 0.3156 0.8337 0.5037
V3 V 0.6844 0.1663 0.4963
V4 V 0.6844 0.3337 0.9963
O1 O 0.0757 0.0904 0.7380
O2 O 0.0757 0.4096 0.2380
O3 O 0.2382 0.6663 0.5302
O4 O 0.2382 0.8337 0.0302
O5 O 0.3248 0.1621 0.5204
O6 O 0.3248 0.3379 0.0204
O7 O 0.4557 0.0669 0.2495
O8 O 0.4557 0.4331 0.7495
O9 O 0.5443 0.5669 0.2505
O10 O 0.5443 0.9331 0.7505
O11 O 0.6752 0.6621 0.9796
O12 O 0.6752 0.8379 0.4796
O13 O 0.7618 0.1663 0.9698
O14 O 0.7618 0.3337 0.4698
O15 O 0.9243 0.5904 0.7620
O16 O 0.9243 0.9096 0.2620
```

Largest 8 diffraction maxima, by angle, 10° ≤ 2θ ≤ 80°:
2θ = 15.88°, d 5.582, intensity 59
2θ = 22.06°, d 4.029, intensity 48
2θ = 23.63°, d 3.765, intensity 100
2θ = 27.90°, d 3.198, intensity 51
2θ = 32.07°, d 2.791, intensity 99
2θ = 32.46°, d 2.759, intensity 48
2θ = 35.02°, d 2.563, intensity 82
2θ = 57.65°, d 1.599, intensity 55